The following is a simulated powder XRD pattern of BeV2Ir2. It was derived from the GGA-PBE geometry in Alexandria, using Cu Kα, 1.54184 Å.

Crystal structure
Cell: 7.200 7.200 2.788 Å, 90.00 90.00 90.00°
Space group P4/mbm (No. 127)
Unique sites:
1 Be 0.000 0.000 0.000 [2 per cell]
2 V 0.164 0.336 0.500 [4 per cell]
3 Ir 0.134 0.634 0.000 [4 per cell]

Principal peaks in the range 2θ from 10° to 90°, in order of falling intensity:
2.108 Å, 42.91°, rel. 100; 5.091 Å, 17.42°, rel. 67; 3.220 Å, 27.70°, rel. 52; 2.277 Å, 39.58°, rel. 34; 1.206 Å, 79.50°, rel. 22; 1.800 Å, 50.72°, rel. 21; 2.788 Å, 32.11°, rel. 17; 1.623 Å, 56.70°, rel. 17; 1.997 Å, 45.42°, rel. 15; 1.512 Å, 61.30°, rel. 13